[1]
# HoAlGaNi
Calculated X-ray diffraction stick pattern, Cu Kα, 1.54184 Å. Input: a structure optimized by DFT (GGA-PBE).

The 6 most intense peaks (10 to 80 degrees two-theta), in order of rising 2θ:
2θ (°)	I (rel.)	(hkl)
23.62	34	1 1 0
26.31	28	0 0 2
35.64	100	1 1 2
37.19	91	1 3 1
38.12	50	0 4 1
44.62	31	2 0 0

Crystal structure
a b c (Å): 4.061 10.074 6.775
angles (deg): 90.00 90.00 90.00
Space group Cmc2_1 (No. 36)
One atom of each set of equivalent atoms:
Ho 0.000 0.065 0.000
Al 0.000 0.346 0.194
Ga 0.000 0.353 0.802
Ni 0.000 0.214 0.502


[2]
# HoAlGaNi
Calculated X-ray diffraction stick pattern, Cu Kα, 1.54184 Å. Input: a structure optimized by DFT (GGA-PBE).

The 6 most intense peaks (10 to 80 degrees two-theta), in order of rising 2θ:
2θ (°)	I (rel.)	(hkl)
23.54	53	1 1 0
35.47	97	1 1 -2
35.65	60	1 1 2
37.21	100	3 1 1
37.83	54	4 0 -1
44.47	55	0 2 0

Crystal structure
a b c (Å): 10.107 4.074 6.787
angles (deg): 90.00 90.76 90.00
Space group C2/m (No. 12)
One atom of each set of equivalent atoms:
Ho 0.066 0.000 0.253
Al 0.155 0.500 0.945
Ga 0.146 0.500 0.553
Ni 0.214 0.000 0.748